Starting from a structure optimized by DFT (PBE), the powder diffractogram of ErNpSi was calculated for Cu Kα, 1.54184 Å.
Lines closer than 0.1° are merged.

Atomic structure:
Cell lengths 8.2722, 10.1322, 2.9320 Å; angles 90.00, 90.00, 90.00 degrees
Sites, in units of the cell vectors:
Er 0.1617 0.0877 0.0000
Er 0.3383 0.5877 0.0000
Er 0.6617 0.4123 0.0000
Er 0.8383 0.9123 0.0000
Np 0.0473 0.3927 0.0000
Np 0.4527 0.8927 0.0000
Np 0.5473 0.1073 0.0000
Np 0.9527 0.6073 0.0000
Si 0.1467 0.8175 0.5000
Si 0.3533 0.3175 0.5000
Si 0.6467 0.6825 0.5000
Si 0.8533 0.1825 0.5000

Principal peaks in the range 5 to 70 degrees two-theta, in order of rising 2θ:
2θ/deg  I_rel
13.8  70
23.2  48
30.5  94
33.7  100
34.3  77
35.4  65
38.7  50
46.1  64
46.5  58
67.6  53

Starting from a structure optimized by DFT (PBE), the powder diffractogram of SrLi2CaAg was calculated for Cu Kα, 1.54184 Å.
Lines closer than 0.1° are merged.

Atomic structure:
Cell lengths 4.1794, 5.0408, 14.2278 Å; angles 90.00, 90.00, 90.00 degrees
Sites, in units of the cell vectors:
Sr 0.0000 0.0000 0.0000
Sr 0.5000 0.5000 0.5000
Li 0.0000 0.0000 0.6163
Li 0.0000 0.5000 0.2936
Li 0.5000 0.0000 0.7936
Li 0.5000 0.5000 0.1163
Ca 0.0000 0.5000 0.7663
Ca 0.5000 0.0000 0.2663
Ag 0.0000 0.0000 0.4239
Ag 0.5000 0.5000 0.9239

Principal peaks in the range 5 to 70 degrees two-theta, in order of rising 2θ:
2θ/deg  I_rel
12.4  93
18.7  29
25.8  20
27.7  35
28.5  33
30.5  100
35.6  23
36.3  26
37.7  20
38.3  22

Starting from a structure optimized by DFT (PBE), the powder diffractogram of YSi3Pd10 was calculated for Cu Kα, 1.54184 Å.
Lines closer than 0.1° are merged.

Atomic structure:
Cell lengths 8.6620, 8.6620, 8.6620 Å; angles 60.00, 60.00, 60.00 degrees
Sites, in units of the cell vectors:
Y 0.2500 0.2500 0.2500
Y 0.7500 0.7500 0.7500
Si 0.2347 0.2347 0.7653
Si 0.2347 0.7653 0.2347
Si 0.2347 0.7653 0.7653
Si 0.7653 0.2347 0.2347
Si 0.7653 0.2347 0.7653
Si 0.7653 0.7653 0.2347
Pd 0.1160 0.1160 0.1160
Pd 0.1160 0.1160 0.6520
Pd 0.1160 0.6520 0.1160
Pd 0.1559 0.5000 0.5000
Pd 0.1559 0.5000 0.8441
Pd 0.1559 0.8441 0.5000
Pd 0.3480 0.8840 0.8840
Pd 0.5000 0.1559 0.5000
Pd 0.5000 0.1559 0.8441
Pd 0.5000 0.5000 0.1559
Pd 0.5000 0.5000 0.8441
Pd 0.5000 0.8441 0.1559
Pd 0.5000 0.8441 0.5000
Pd 0.6520 0.1160 0.1160
Pd 0.8441 0.1559 0.5000
Pd 0.8441 0.5000 0.1559
Pd 0.8441 0.5000 0.5000
Pd 0.8840 0.3480 0.8840
Pd 0.8840 0.8840 0.3480
Pd 0.8840 0.8840 0.8840

Principal peaks in the range 5 to 70 degrees two-theta, in order of rising 2θ:
2θ/deg  I_rel
32.7  34
35.9  17
38.2  100
41.7  24
43.7  50
44.4  12
49.3  17
64.6  24
66.1  12
70.0  13

Starting from a structure optimized by DFT (PBE), the powder diffractogram of Nd6Mg7 was calculated for Cu Kα, 1.54184 Å.
Lines closer than 0.1° are merged.

Atomic structure:
Cell lengths 12.1757, 12.1757, 12.1757 Å; angles 29.00, 29.00, 29.00 degrees
Sites, in units of the cell vectors:
Nd 0.0478 0.0478 0.0478
Nd 0.1527 0.1527 0.1527
Nd 0.3350 0.3350 0.3350
Nd 0.6650 0.6650 0.6650
Nd 0.8473 0.8473 0.8473
Nd 0.9522 0.9522 0.9522
Mg 0.0911 0.5951 0.5951
Mg 0.4049 0.4049 0.9089
Mg 0.4049 0.9089 0.4049
Mg 0.5000 0.5000 0.5000
Mg 0.5951 0.0911 0.5951
Mg 0.5951 0.5951 0.0911
Mg 0.9089 0.4049 0.4049

Principal peaks in the range 5 to 70 degrees two-theta, in order of rising 2θ:
2θ/deg  I_rel
15.2  27
17.0  27
29.3  100
30.7  77
32.9  38
33.2  61
52.0  20
52.8  32
54.5  22
60.8  20

Starting from a structure optimized by DFT (PBE), the powder diffractogram of Na2B3C was calculated for Cu Kα, 1.54184 Å.
Lines closer than 0.1° are merged.

Atomic structure:
Cell lengths 8.6247, 13.1194, 13.1194 Å; angles 12.33, 90.00, 90.00 degrees
Sites, in units of the cell vectors:
Na 0.2472 0.0000 0.0000
Na 0.2482 0.1973 0.1973
Na 0.2491 0.5994 0.5994
Na 0.2505 0.3983 0.3983
Na 0.2528 0.7963 0.7963
Na 0.7472 0.7963 0.7963
Na 0.7495 0.3983 0.3983
Na 0.7509 0.5994 0.5994
Na 0.7518 0.1973 0.1973
Na 0.7528 0.0000 0.0000
B 0.0000 0.1279 0.1279
B 0.0000 0.3231 0.3231
B 0.0000 0.4703 0.4703
B 0.0000 0.5366 0.5366
B 0.0000 0.6669 0.6669
B 0.0000 0.7329 0.7329
B 0.0000 0.8652 0.8652
B 0.0000 0.9290 0.9290
B 0.5000 0.0687 0.0687
B 0.5000 0.2563 0.2563
B 0.5000 0.3248 0.3248
B 0.5000 0.4767 0.4767
B 0.5000 0.6621 0.6621
B 0.5000 0.8681 0.8681
B 0.5000 0.9331 0.9331
C 0.0000 0.0670 0.0670
C 0.0000 0.2641 0.2641
C 0.5000 0.1308 0.1308
C 0.5000 0.5366 0.5366
C 0.5000 0.7252 0.7252

Principal peaks in the range 5 to 70 degrees two-theta, in order of rising 2θ:
2θ/deg  I_rel
6.8  5
34.4  13
36.2  17
40.4  49
41.9  38
42.0  100
55.3  6
56.6  10
62.8  17
66.3  8

Starting from a structure optimized by DFT (PBE), the powder diffractogram of Ba3As4Au4 was calculated for Cu Kα, 1.54184 Å.
Lines closer than 0.1° are merged.

Atomic structure:
Cell lengths 13.6675, 13.6675, 4.7716 Å; angles 99.97, 99.97, 19.42 degrees
Sites, in units of the cell vectors:
Ba 0.0000 0.0000 0.0000
Ba 0.3501 0.3501 0.8459
Ba 0.6499 0.6499 0.1541
As 0.1959 0.1959 0.7426
As 0.4508 0.4508 0.4423
As 0.5492 0.5492 0.5577
As 0.8041 0.8041 0.2574
Au 0.0977 0.0977 0.5965
Au 0.2545 0.2545 0.2983
Au 0.7455 0.7455 0.7017
Au 0.9023 0.9023 0.4035

Principal peaks in the range 5 to 70 degrees two-theta, in order of rising 2θ:
2θ/deg  I_rel
6.7  20
30.1  100
37.7  19
39.1  19
42.3  14
43.7  13
50.1  11
55.4  14
57.9  10
63.4  11

Starting from a structure optimized by DFT (PBE), the powder diffractogram of SnHgS4 was calculated for Cu Kα, 1.54184 Å.
Lines closer than 0.1° are merged.

Atomic structure:
Cell lengths 6.0734, 3.7942, 6.8947 Å; angles 90.00, 111.50, 90.00 degrees
Sites, in units of the cell vectors:
Sn 0.0000 0.0000 0.0000
Hg 0.0000 0.5000 0.5000
S 0.2200 0.5000 0.2746
S 0.3496 0.0000 0.8691
S 0.6504 0.0000 0.1309
S 0.7800 0.5000 0.7254

Principal peaks in the range 5 to 70 degrees two-theta, in order of rising 2θ:
2θ/deg  I_rel
15.7  100
27.3  93
27.8  19
28.9  20
33.7  36
34.2  59
37.0  22
38.0  28
46.2  34
49.2  23

Starting from a structure optimized by DFT (PBE), the powder diffractogram of Ag7Pt5 was calculated for Cu Kα, 1.54184 Å.
Lines closer than 0.1° are merged.

Atomic structure:
Cell lengths 5.7581, 4.0845, 8.5614 Å; angles 90.00, 91.22, 90.00 degrees
Sites, in units of the cell vectors:
Ag 0.0000 0.0000 0.0000
Ag 0.0039 0.0000 0.3328
Ag 0.2364 0.5000 0.8351
Ag 0.2518 0.5000 0.1687
Ag 0.5046 0.0000 0.3320
Ag 0.7554 0.5000 0.4981
Ag 0.9943 0.0000 0.6666
Pt 0.2623 0.5000 0.5059
Pt 0.4944 0.0000 0.6686
Pt 0.5101 0.0000 0.9949
Pt 0.7262 0.5000 0.8330
Pt 0.7461 0.5000 0.1584

Principal peaks in the range 5 to 70 degrees two-theta, in order of rising 2θ:
2θ/deg  I_rel
18.4  7
38.3  100
38.5  100
44.2  34
44.4  33
45.2  31
64.4  21
64.8  10
65.2  20
65.4  11